For CsDyMo2O8, a GGA+U-relaxed structure gives the calculated powder XRD pattern in this record (Cu Kα (λ = 1.5418 Å)).
Kinematic intensities with the Lorentz-polarization factor, no thermal factor.

Principal peaks in the range 2θ from 10° to 80°, low angle first:
h k l, 2θ (°), Rel. int.
2 1 0, 25.20, 100.0
2 0 -2, 27.69, 31.0
0 1 2, 28.03, 99.2
2 0 2, 29.20, 35.1
0 0 4, 44.43, 15.0
2 2 -2, 45.38, 18.0
2 2 2, 46.40, 20.4
2 1 4, 52.69, 13.8

Crystal structure
a = 9.826 Å, b = 5.096 Å, c = 8.167 Å
α = 90.00°, β = 93.08°, γ = 90.00°
Space group P2/c (No. 13)
Asymmetric unit:
1 Cs 0.000 0.067 0.250 (multiplicity 2)
2 Dy 0.500 0.002 0.750 (multiplicity 2)
3 Mo 0.308 0.477 0.487 (multiplicity 4)
4 O 0.143 0.392 0.974 (multiplicity 4)
5 O 0.318 0.256 0.315 (multiplicity 4)
6 O 0.319 0.264 0.664 (multiplicity 4)
7 O 0.434 0.247 0.996 (multiplicity 4)